Starting from the PBE geometry in the Materials Project, the X-ray diffraction stick pattern of NaAsO2 was simulated for a wavelength of 1.5418 Å.
Peak positions follow from Bragg's law for the DFT cell and can differ from measured ones.

Most intense lines, 15 to 90 degrees two-theta, sorted by position:
- 17.35°, rel. 67
- 22.93°, rel. 40
- 24.49°, rel. 100
- 26.46°, rel. 46
- 31.51°, rel. 56
- 31.71°, rel. 65
- 34.69°, rel. 47
- 46.43°, rel. 30
- 47.57°, rel. 33
- 59.24°, rel. 25

Atomic structure:
```
NaAsO2
1.0
5.171 0.000 0.000
0.000 15.512 0.000
0.000 0.000 6.794
Na As O
8 8 16
Cartesian
1.274 3.073 0.665 Na
1.274 4.683 4.062 Na
1.312 10.829 0.665 Na
1.312 12.439 4.062 Na
3.859 3.073 2.732 Na
3.859 4.683 6.129 Na
3.897 10.829 2.732 Na
3.897 12.439 6.129 Na
1.259 9.075 4.067 As
1.259 14.193 0.670 As
1.327 1.319 4.067 As
1.327 6.437 0.670 As
3.844 9.075 6.124 As
3.844 14.193 2.727 As
3.912 1.319 6.124 As
3.912 6.437 2.727 As
0.360 2.014 5.522 O
0.360 5.742 2.125 O
1.036 2.582 2.920 O
1.036 5.174 6.318 O
1.549 10.338 2.920 O
1.549 12.930 6.318 O
2.226 9.770 5.522 O
2.226 13.498 2.125 O
2.945 2.014 4.669 O
2.945 5.742 1.272 O
3.622 2.582 0.477 O
3.622 5.174 3.874 O
4.135 10.338 0.477 O
4.135 12.930 3.874 O
4.811 9.770 4.669 O
4.811 13.498 1.272 O
```

=====

Starting from the PBE geometry in the Materials Project, the X-ray diffraction stick pattern of Sc3Nb2Si4 was simulated for a wavelength of 1.5418 Å.
Peak positions follow from Bragg's law for the DFT cell and can differ from measured ones.

Most intense lines, 15 to 90 degrees two-theta, sorted by position:
- 23.94°, rel. 24
- 29.59°, rel. 20
- 30.22°, rel. 25
- 35.44°, rel. 86
- 35.97°, rel. 100
- 37.54°, rel. 42
- 41.00°, rel. 22
- 41.13°, rel. 21
- 42.25°, rel. 37
- 64.17°, rel. 24

Atomic structure:
```
Sc3Nb2Si4
1.0
6.740 0.000 0.000
0.000 13.167 0.000
0.000 0.000 6.987
Sc Nb Si
12 8 16
Cartesian
1.068 3.292 0.040 Sc
1.096 8.233 1.216 Sc
1.096 11.517 1.216 Sc
2.274 1.649 4.709 Sc
2.274 4.934 4.709 Sc
2.302 9.875 3.534 Sc
4.438 3.292 3.453 Sc
4.466 8.233 2.278 Sc
4.466 11.517 2.278 Sc
5.644 1.649 5.772 Sc
5.644 4.934 5.772 Sc
5.672 9.875 6.947 Sc
0.036 7.862 4.753 Nb
0.036 11.888 4.753 Nb
3.334 1.279 1.260 Nb
3.334 5.304 1.260 Nb
3.406 7.862 5.728 Nb
3.406 11.888 5.728 Nb
6.704 1.279 2.234 Nb
6.704 5.304 2.234 Nb
0.222 3.292 4.142 Si
1.176 0.495 6.755 Si
1.176 6.089 6.755 Si
1.426 9.875 6.002 Si
1.944 3.292 2.508 Si
2.194 7.078 3.261 Si
2.194 12.672 3.261 Si
3.148 9.875 0.648 Si
3.592 3.292 6.339 Si
4.546 0.495 3.726 Si
4.546 6.089 3.726 Si
4.796 9.875 4.480 Si
5.314 3.292 0.986 Si
5.564 7.078 0.233 Si
5.564 12.672 0.233 Si
6.518 9.875 2.845 Si
```

=====

Starting from the PBE geometry in the Materials Project, the X-ray diffraction stick pattern of Na3CuO2 was simulated for a wavelength of 1.5418 Å.
Peak positions follow from Bragg's law for the DFT cell and can differ from measured ones.

Most intense lines, 15 to 90 degrees two-theta, sorted by position:
- 22.60°, rel. 33
- 25.70°, rel. 61
- 26.48°, rel. 22
- 32.18°, rel. 52
- 34.49°, rel. 54
- 38.61°, rel. 100
- 41.63°, rel. 29
- 42.14°, rel. 22
- 46.15°, rel. 41
- 53.57°, rel. 27

Atomic structure:
```
Na3CuO2
1.0
7.868 0.000 0.000
0.000 7.868 0.000
0.000 0.000 11.582
Na Cu O
24 8 16
Cartesian
0.119 0.119 0.000 Na
0.207 3.501 0.019 Na
0.376 7.491 2.896 Na
0.432 4.141 2.914 Na
1.186 5.785 9.899 Na
1.852 2.747 7.003 Na
2.082 6.681 7.475 Na
2.747 1.852 4.579 Na
3.501 0.207 11.564 Na
3.558 3.558 0.000 Na
3.727 7.435 2.877 Na
3.814 4.053 2.896 Na
4.053 3.814 8.687 Na
4.141 0.432 8.668 Na
4.310 4.310 5.791 Na
4.366 7.661 5.773 Na
5.120 6.016 10.370 Na
5.785 1.186 1.683 Na
6.016 5.120 1.212 Na
6.681 2.082 4.108 Na
7.435 3.727 8.705 Na
7.491 0.376 8.687 Na
7.661 4.366 5.810 Na
7.748 7.748 5.791 Na
1.853 1.854 1.838 Cu
1.854 1.853 9.745 Cu
2.080 5.788 1.058 Cu
2.080 5.787 4.733 Cu
5.787 2.080 6.849 Cu
5.788 2.080 10.524 Cu
6.013 6.014 3.953 Cu
6.014 6.013 7.629 Cu
0.047 1.877 1.873 O
0.273 5.775 0.973 O
1.841 3.661 9.660 O
1.877 0.047 9.709 O
2.057 3.981 4.768 O
2.093 7.594 4.818 O
3.661 1.841 1.923 O
3.886 5.811 1.023 O
3.981 2.057 6.814 O
4.207 6.027 7.714 O
5.775 0.273 10.609 O
5.811 3.886 10.560 O
5.991 7.820 3.918 O
6.027 4.207 3.868 O
7.594 2.093 6.764 O
7.820 5.991 7.664 O
```

=====

Starting from the PBE geometry in the Materials Project, the X-ray diffraction stick pattern of UO11 was simulated for a wavelength of 1.5418 Å.
Peak positions follow from Bragg's law for the DFT cell and can differ from measured ones.

Most intense lines, 15 to 90 degrees two-theta, sorted by position:
- 15.34°, rel. 94
- 17.74°, rel. 100
- 19.11°, rel. 22
- 20.56°, rel. 72
- 21.47°, rel. 39
- 22.75°, rel. 44
- 27.02°, rel. 21
- 30.04°, rel. 33
- 30.95°, rel. 21
- 33.91°, rel. 31

Atomic structure:
```
UO11
1.0
5.479 0.000 0.000
-2.568 6.498 0.000
-0.673 -2.418 7.931
U O
1 11
Cartesian
0.000 0.000 0.000 U
-0.369 0.956 1.516 O
-1.533 2.337 5.278 O
0.156 -0.585 6.710 O
-0.454 6.277 0.038 O
2.073 1.126 3.008 O
0.109 4.083 7.457 O
2.089 4.397 0.687 O
2.884 2.012 2.747 O
2.875 2.487 5.878 O
3.203 4.640 1.363 O
4.496 -0.936 6.125 O
```

=====

Starting from the PBE geometry in the Materials Project, the X-ray diffraction stick pattern of MgCN2 was simulated for a wavelength of 1.5418 Å.
Peak positions follow from Bragg's law for the DFT cell and can differ from measured ones.

Most intense lines, 15 to 90 degrees two-theta, sorted by position:
- 40.16°, rel. 12
- 40.75°, rel. 100
- 47.61°, rel. 36
- 48.64°, rel. 12
- 58.09°, rel. 16
- 63.99°, rel. 7
- 64.85°, rel. 4
- 73.37°, rel. 22
- 74.58°, rel. 19
- 88.27°, rel. 5

Atomic structure:
```
MgCN2
1.0
-2.246 2.246 3.089
2.246 -2.246 3.089
2.246 2.246 -3.089
Mg C N
2 2 4
Cartesian
0.000 0.000 0.000 Mg
0.000 2.246 1.544 Mg
2.246 0.000 1.544 C
0.000 0.000 3.089 C
1.123 1.585 -0.772 N
2.906 1.123 0.772 N
1.123 0.661 2.317 N
-0.661 1.123 3.861 N
```

=====

Starting from the PBE geometry in the Materials Project, the X-ray diffraction stick pattern of Na4Sn5O12 was simulated for a wavelength of 1.5418 Å.
Peak positions follow from Bragg's law for the DFT cell and can differ from measured ones.

Most intense lines, 15 to 90 degrees two-theta, sorted by position:
- 16.55°, rel. 100
- 19.21°, rel. 30
- 22.33°, rel. 27
- 28.54°, rel. 30
- 32.53°, rel. 57
- 32.83°, rel. 37
- 38.76°, rel. 41
- 39.90°, rel. 27
- 54.90°, rel. 31
- 57.04°, rel. 33

Atomic structure:
```
Na4Sn5O12
1.0
5.879 0.000 0.000
2.022 10.048 0.000
2.328 2.796 10.214
Na Sn O
8 10 24
Cartesian
2.576 5.270 4.090 Na
3.497 9.150 0.249 Na
4.670 9.385 5.644 Na
3.471 6.089 1.124 Na
6.758 6.754 9.090 Na
5.559 3.458 4.570 Na
6.732 3.693 9.965 Na
7.653 7.573 6.124 Na
3.863 8.347 8.699 Sn
2.887 2.919 6.970 Sn
3.799 5.171 9.548 Sn
2.385 1.735 2.733 Sn
4.745 6.018 6.590 Sn
5.484 6.825 3.624 Sn
7.844 11.108 7.481 Sn
6.430 7.672 0.666 Sn
7.342 9.924 3.244 Sn
6.367 4.496 1.515 Sn
1.522 3.474 3.048 O
3.050 6.490 7.952 O
3.306 10.469 3.806 O
2.851 3.442 8.863 O
4.511 10.022 9.696 O
2.187 4.276 0.127 O
3.901 7.055 4.957 O
3.729 4.270 5.833 O
2.400 1.243 0.831 O
5.427 7.840 7.464 O
6.003 11.279 6.723 O
4.836 7.878 1.940 O
5.393 4.966 8.274 O
4.226 1.565 3.491 O
4.802 5.003 2.750 O
7.829 11.600 9.383 O
6.500 8.573 4.381 O
6.329 5.788 5.257 O
8.042 8.567 10.087 O
5.718 2.821 0.518 O
7.378 9.401 1.351 O
6.923 2.374 6.408 O
7.179 6.353 2.262 O
8.707 9.369 7.166 O
```

=====

Starting from the PBE geometry in the Materials Project, the X-ray diffraction stick pattern of Te2MoWS2 was simulated for a wavelength of 1.5418 Å.
Peak positions follow from Bragg's law for the DFT cell and can differ from measured ones.

Most intense lines, 15 to 90 degrees two-theta, sorted by position:
- 20.86°, rel. 15
- 30.81°, rel. 64
- 36.15°, rel. 100
- 37.51°, rel. 17
- 38.89°, rel. 17
- 43.74°, rel. 49
- 45.53°, rel. 17
- 54.71°, rel. 31
- 67.34°, rel. 16
- 77.24°, rel. 15

Atomic structure:
```
Te2MoWS2
1.0
3.356 0.000 0.000
-1.678 2.906 0.000
0.000 0.000 38.318
Te Mo W S
4 2 2 4
Cartesian
0.000 1.937 8.906 Te
0.000 1.937 12.692 Te
1.678 0.969 25.627 Te
1.678 0.969 29.412 Te
0.000 1.937 27.519 Mo
1.678 0.969 10.800 Mo
0.000 1.937 3.599 W
1.678 0.969 34.720 W
0.000 1.937 33.200 S
0.000 1.937 36.238 S
1.678 0.969 2.080 S
1.678 0.969 5.118 S
```

=====

Starting from the PBE geometry in the Materials Project, the X-ray diffraction stick pattern of Nd3TiSb5 was simulated for a wavelength of 1.5418 Å.
Peak positions follow from Bragg's law for the DFT cell and can differ from measured ones.

Most intense lines, 15 to 90 degrees two-theta, sorted by position:
- 28.37°, rel. 18
- 28.88°, rel. 16
- 32.26°, rel. 98
- 32.85°, rel. 82
- 34.25°, rel. 100
- 42.35°, rel. 18
- 48.19°, rel. 28
- 50.77°, rel. 15
- 52.74°, rel. 24
- 68.92°, rel. 20

Atomic structure:
```
Nd3TiSb5
1.0
9.445 0.000 0.000
-4.723 8.180 0.000
0.000 0.000 6.292
Nd Ti Sb
6 2 10
Cartesian
-1.804 3.124 1.573 Nd
-2.919 5.056 4.719 Nd
3.607 0.000 1.573 Nd
1.804 3.124 4.719 Nd
5.838 0.000 4.719 Nd
2.919 5.056 1.573 Nd
0.000 0.000 0.000 Ti
0.000 0.000 3.146 Ti
-1.197 2.074 4.719 Sb
-3.525 6.106 1.573 Sb
2.395 0.000 4.719 Sb
1.197 2.074 1.573 Sb
0.000 5.453 0.000 Sb
0.000 5.453 3.146 Sb
4.723 2.727 0.000 Sb
4.723 2.727 3.146 Sb
7.051 0.000 1.573 Sb
3.525 6.106 4.719 Sb
```

=====

Starting from the PBE geometry in the Materials Project, the X-ray diffraction stick pattern of K2PH4S3O2 was simulated for a wavelength of 1.5418 Å.
Peak positions follow from Bragg's law for the DFT cell and can differ from measured ones.

Most intense lines, 15 to 90 degrees two-theta, sorted by position:
- 15.21°, rel. 83
- 26.84°, rel. 86
- 28.24°, rel. 62
- 30.62°, rel. 100
- 31.71°, rel. 82
- 32.13°, rel. 69
- 32.62°, rel. 73
- 33.53°, rel. 46
- 34.30°, rel. 66
- 36.92°, rel. 55

Atomic structure:
```
K2PH4S3O2
1.0
8.094 0.000 0.000
0.000 11.436 0.000
-7.435 0.000 9.068
K P H S O
8 4 16 12 8
Cartesian
-2.927 2.583 3.691 K
-6.645 3.135 8.225 K
-0.069 7.521 4.824 K
3.649 9.634 0.290 K
-2.991 1.803 8.778 K
0.727 3.915 4.244 K
7.303 8.301 0.843 K
3.586 8.853 5.377 K
-3.716 6.098 8.029 P
0.001 11.057 3.495 P
0.657 0.380 5.573 P
4.375 5.338 1.039 P
-5.935 0.013 8.288 H
-2.217 5.705 3.754 H
-4.069 0.147 6.446 H
-0.352 5.571 1.912 H
1.346 0.573 0.686 H
-2.372 5.145 5.220 H
1.132 6.068 1.994 H
-2.586 11.087 6.528 H
3.244 0.350 2.540 H
-0.473 5.368 7.074 H
3.030 6.291 3.848 H
-0.687 10.863 8.382 H
1.010 5.865 7.156 H
4.728 11.289 2.622 H
2.876 5.731 5.314 H
6.593 11.423 0.780 H
-5.489 7.077 8.279 S
-1.771 10.078 3.745 S
-0.221 1.272 2.307 S
-3.939 4.446 6.841 S
-2.248 7.352 7.404 S
1.470 9.802 2.870 S
-0.811 1.634 6.198 S
2.906 4.084 1.664 S
4.597 6.990 2.227 S
0.880 10.164 6.761 S
2.429 1.359 5.323 S
6.147 4.359 0.789 S
-5.498 0.591 8.964 O
-1.780 5.127 4.430 O
0.246 6.204 2.390 O
-3.472 10.951 6.924 O
4.130 0.486 2.144 O
0.412 5.232 6.678 O
2.438 6.309 4.638 O
6.156 10.845 0.104 O
```

=====

What did the fifth record say?
Starting from the PBE geometry in the Materials Project, the X-ray diffraction stick pattern of MgCN2 was simulated for a wavelength of 1.5418 Å.
Peak positions follow from Bragg's law for the DFT cell and can differ from measured ones.

Most intense lines, 15 to 90 degrees two-theta, sorted by position:
- 40.16°, rel. 12
- 40.75°, rel. 100
- 47.61°, rel. 36
- 48.64°, rel. 12
- 58.09°, rel. 16
- 63.99°, rel. 7
- 64.85°, rel. 4
- 73.37°, rel. 22
- 74.58°, rel. 19
- 88.27°, rel. 5

Atomic structure:
```
MgCN2
1.0
-2.246 2.246 3.089
2.246 -2.246 3.089
2.246 2.246 -3.089
Mg C N
2 2 4
Cartesian
0.000 0.000 0.000 Mg
0.000 2.246 1.544 Mg
2.246 0.000 1.544 C
0.000 0.000 3.089 C
1.123 1.585 -0.772 N
2.906 1.123 0.772 N
1.123 0.661 2.317 N
-0.661 1.123 3.861 N
```